The following is a calculated powder X-ray diffraction pattern of Y6SnBi3. It was derived from a PBE-relaxed structure, using a wavelength of 1.5418 Å.

Principal peaks in the range 2θ = 10–90°, in order of rising 2θ:
| 2θ (°) | I (rel.) |
| --- | --- |
| 22.44 | 39 |
| 22.93 | 100 |
| 30.59 | 52 |
| 32.08 | 87 |
| 33.08 | 45 |
| 34.09 | 40 |
| 36.95 | 34 |
| 38.23 | 39 |

Cell and atoms:
a b c (Å): 9.432 9.432 7.699
angles (deg): 90.00 90.00 107.78
Positions (direct):
Y (0.006, 0.994, 0.500)
Y (0.085, 0.539, 0.013)
Y (0.252, 0.748, 0.616)
Y (0.264, 0.376, 0.621)
Y (0.376, 0.264, 0.121)
Y (0.461, 0.915, 0.013)
Y (0.539, 0.085, 0.513)
Y (0.624, 0.736, 0.621)
Y (0.736, 0.624, 0.121)
Y (0.748, 0.252, 0.116)
Y (0.915, 0.461, 0.513)
Y (0.994, 0.006, 0.000)
Sn (0.166, 0.834, 0.250)
Sn (0.834, 0.166, 0.750)
Bi (0.081, 0.287, 0.275)
Bi (0.287, 0.081, 0.775)
Bi (0.422, 0.578, 0.930)
Bi (0.578, 0.422, 0.430)
Bi (0.713, 0.919, 0.275)
Bi (0.919, 0.713, 0.775)

=====

The following is a calculated powder X-ray diffraction pattern of Ce8IrPt5. It was derived from a PBE-relaxed structure, using a wavelength of 1.5418 Å.

Principal peaks in the range 2θ = 10–90°, in order of rising 2θ:
| 2θ (°) | I (rel.) |
| --- | --- |
| 31.85 | 52 |
| 32.12 | 100 |
| 37.99 | 29 |
| 38.16 | 51 |
| 46.04 | 19 |
| 48.27 | 13 |
| 52.82 | 14 |
| 65.17 | 15 |

Cell and atoms:
a b c (Å): 7.653 7.653 7.653
angles (deg): 109.73 109.73 108.95
Positions (direct):
Ce (0.007, 0.873, 0.257)
Ce (0.125, 0.379, 0.627)
Ce (0.127, 0.384, 0.133)
Ce (0.251, 0.993, 0.867)
Ce (0.502, 0.875, 0.255)
Ce (0.616, 0.749, 0.743)
Ce (0.621, 0.247, 0.745)
Ce (0.753, 0.498, 0.373)
Ir (0.250, 0.750, 0.500)
Pt (0.375, 0.248, 0.370)
Pt (0.500, 0.500, 0.000)
Pt (0.752, 0.122, 0.127)
Pt (0.878, 0.005, 0.630)
Pt (0.995, 0.625, 0.873)

=====

The following is a calculated powder X-ray diffraction pattern of In5Hg3I4. It was derived from a PBE-relaxed structure, using a wavelength of 1.5418 Å.

Principal peaks in the range 2θ = 10–90°, in order of rising 2θ:
| 2θ (°) | I (rel.) |
| --- | --- |
| 26.87 | 52 |
| 27.38 | 100 |
| 28.45 | 76 |
| 29.36 | 50 |
| 31.30 | 61 |
| 32.17 | 94 |
| 34.16 | 68 |
| 34.49 | 53 |

Cell and atoms:
a b c (Å): 5.620 8.146 10.626
angles (deg): 77.34 81.50 75.61
Positions (direct):
In (0.000, 0.000, 0.000)
In (0.266, 0.900, 0.313)
In (0.428, 0.503, 0.657)
In (0.572, 0.497, 0.343)
In (0.734, 0.100, 0.687)
Hg (0.213, 0.797, 0.786)
Hg (0.500, 0.000, 0.000)
Hg (0.787, 0.203, 0.214)
I (0.099, 0.602, 0.158)
I (0.170, 0.208, 0.486)
I (0.830, 0.792, 0.514)
I (0.901, 0.398, 0.842)

=====

The following is a calculated powder X-ray diffraction pattern of TiTcSn4. It was derived from a PBE-relaxed structure, using a wavelength of 1.5418 Å.

Principal peaks in the range 2θ = 10–90°, in order of rising 2θ:
| 2θ (°) | I (rel.) |
| --- | --- |
| 30.58 | 100 |
| 37.12 | 43 |
| 38.23 | 89 |
| 41.79 | 37 |
| 42.21 | 59 |
| 64.25 | 24 |
| 65.87 | 25 |
| 67.51 | 31 |

Cell and atoms:
a b c (Å): 7.380 7.380 7.380
angles (deg): 125.40 125.40 80.88
Positions (direct):
Ti (0.000, 0.000, 0.000)
Ti (0.500, 0.500, 0.000)
Tc (0.250, 0.250, 0.000)
Tc (0.750, 0.750, 0.000)
Sn (0.020, 0.520, 0.810)
Sn (0.209, 0.020, 0.500)
Sn (0.291, 0.791, 0.810)
Sn (0.480, 0.291, 0.500)
Sn (0.520, 0.709, 0.500)
Sn (0.709, 0.209, 0.190)
Sn (0.791, 0.980, 0.500)
Sn (0.980, 0.480, 0.190)

=====

The following is a calculated powder X-ray diffraction pattern of Pr7Y4Tm. It was derived from a PBE-relaxed structure, using a wavelength of 1.5418 Å.

Principal peaks in the range 2θ = 10–90°, in order of rising 2θ:
| 2θ (°) | I (rel.) |
| --- | --- |
| 25.03 | 66 |
| 30.23 | 63 |
| 30.63 | 100 |
| 31.34 | 64 |
| 31.50 | 64 |
| 31.81 | 72 |
| 32.48 | 71 |
| 33.90 | 57 |

Cell and atoms:
a b c (Å): 6.259 7.115 10.069
angles (deg): 110.62 92.32 90.05
Positions (direct):
Pr (0.000, 0.000, 0.000)
Pr (0.197, 0.710, 0.418)
Pr (0.258, 0.534, 0.068)
Pr (0.272, 0.190, 0.377)
Pr (0.728, 0.810, 0.623)
Pr (0.742, 0.466, 0.932)
Pr (0.803, 0.290, 0.582)
Y (0.274, 0.600, 0.728)
Y (0.276, 0.128, 0.728)
Y (0.724, 0.872, 0.272)
Y (0.726, 0.400, 0.272)
Tm (0.500, 0.000, 0.000)

=====

The following is a calculated powder X-ray diffraction pattern of Tb6Ge2As3Se. It was derived from a PBE-relaxed structure, using a wavelength of 1.5418 Å.

Principal peaks in the range 2θ = 10–90°, in order of rising 2θ:
| 2θ (°) | I (rel.) |
| --- | --- |
| 26.17 | 17 |
| 30.45 | 50 |
| 30.55 | 100 |
| 43.30 | 19 |
| 43.67 | 75 |
| 44.19 | 18 |
| 53.85 | 20 |
| 54.61 | 19 |

Cell and atoms:
a b c (Å): 9.282 9.282 8.358
angles (deg): 103.03 103.03 25.51
Positions (direct):
Tb (0.001, 0.001, 0.257)
Tb (0.332, 0.332, 0.918)
Tb (0.334, 0.334, 0.414)
Tb (0.666, 0.666, 0.586)
Tb (0.668, 0.668, 0.082)
Tb (0.999, 0.999, 0.743)
Ge (0.166, 0.166, 0.332)
Ge (0.834, 0.834, 0.668)
As (0.164, 0.164, 0.834)
As (0.500, 0.500, 0.500)
As (0.836, 0.836, 0.166)
Se (0.500, 0.500, 0.000)

=====

The following is a calculated powder X-ray diffraction pattern of Rb3CaP2O8. It was derived from a PBE-relaxed structure, using a wavelength of 1.5418 Å.

Principal peaks in the range 2θ = 10–90°, in order of rising 2θ:
| 2θ (°) | I (rel.) |
| --- | --- |
| 28.53 | 91 |
| 30.29 | 100 |
| 36.97 | 24 |
| 42.09 | 47 |
| 52.73 | 27 |
| 53.81 | 17 |
| 55.96 | 21 |
| 63.00 | 17 |

Cell and atoms:
a b c (Å): 5.902 5.902 7.912
angles (deg): 90.00 90.00 120.00
Positions (direct):
Rb (0.000, 0.000, 0.000)
Rb (0.333, 0.667, 0.714)
Rb (0.667, 0.333, 0.286)
Ca (0.000, 0.000, 0.500)
P (0.333, 0.667, 0.265)
P (0.667, 0.333, 0.735)
O (0.189, 0.379, 0.329)
O (0.189, 0.811, 0.329)
O (0.333, 0.667, 0.069)
O (0.379, 0.189, 0.671)
O (0.621, 0.811, 0.329)
O (0.667, 0.333, 0.931)
O (0.811, 0.189, 0.671)
O (0.811, 0.621, 0.671)

=====

The following is a calculated powder X-ray diffraction pattern of SrTbCu2S4. It was derived from a PBE-relaxed structure, using a wavelength of 1.5418 Å.

Principal peaks in the range 2θ = 10–90°, in order of rising 2θ:
| 2θ (°) | I (rel.) |
| --- | --- |
| 26.95 | 28 |
| 29.84 | 100 |
| 35.59 | 20 |
| 38.48 | 42 |
| 46.59 | 13 |
| 49.44 | 51 |
| 55.55 | 13 |
| 61.98 | 17 |

Cell and atoms:
a b c (Å): 6.617 6.617 7.794
angles (deg): 90.00 90.00 90.00
Positions (direct):
Sr (0.000, 0.000, 0.000)
Sr (0.500, 0.500, 0.500)
Tb (0.000, 0.000, 0.500)
Tb (0.500, 0.500, 0.000)
Cu (0.000, 0.500, 0.250)
Cu (0.000, 0.500, 0.750)
Cu (0.500, 0.000, 0.250)
Cu (0.500, 0.000, 0.750)
S (0.225, 0.225, 0.285)
S (0.225, 0.775, 0.715)
S (0.275, 0.275, 0.785)
S (0.275, 0.725, 0.215)
S (0.725, 0.275, 0.215)
S (0.725, 0.725, 0.785)
S (0.775, 0.225, 0.715)
S (0.775, 0.775, 0.285)

=====

The following is a calculated powder X-ray diffraction pattern of La4PmPr2Au2. It was derived from a PBE-relaxed structure, using a wavelength of 1.5418 Å.

Principal peaks in the range 2θ = 10–90°, in order of rising 2θ:
| 2θ (°) | I (rel.) |
| --- | --- |
| 28.66 | 60 |
| 28.91 | 50 |
| 31.14 | 100 |
| 31.26 | 95 |
| 32.07 | 56 |
| 33.31 | 66 |
| 34.23 | 58 |
| 34.89 | 95 |

Cell and atoms:
a b c (Å): 6.354 6.922 8.059
angles (deg): 65.46 80.61 64.76
Positions (direct):
La (0.086, 0.248, 0.238)
La (0.212, 0.655, 0.368)
La (0.788, 0.345, 0.632)
La (0.914, 0.752, 0.762)
Pm (0.500, 0.500, 0.000)
Pr (0.302, 0.138, 0.819)
Pr (0.698, 0.862, 0.181)
Au (0.392, 0.827, 0.595)
Au (0.608, 0.173, 0.405)

=====

The following is a calculated powder X-ray diffraction pattern of UPb2S6. It was derived from a PBE-relaxed structure, using a wavelength of 1.5418 Å.

Principal peaks in the range 2θ = 10–90°, in order of rising 2θ:
| 2θ (°) | I (rel.) |
| --- | --- |
| 19.67 | 100 |
| 25.50 | 80 |
| 27.96 | 23 |
| 38.20 | 83 |
| 39.96 | 22 |
| 48.02 | 49 |
| 64.19 | 30 |
| 78.35 | 19 |

Cell and atoms:
a b c (Å): 6.382 6.382 12.521
angles (deg): 90.00 90.00 90.00
Positions (direct):
U (0.000, 0.000, 0.000)
U (0.500, 0.500, 0.500)
Pb (0.000, 0.000, 0.335)
Pb (0.000, 0.000, 0.665)
Pb (0.500, 0.500, 0.165)
Pb (0.500, 0.500, 0.835)
S (0.187, 0.187, 0.152)
S (0.187, 0.187, 0.848)
S (0.213, 0.213, 0.500)
S (0.287, 0.713, 0.000)
S (0.313, 0.687, 0.348)
S (0.313, 0.687, 0.652)
S (0.687, 0.313, 0.348)
S (0.687, 0.313, 0.652)
S (0.713, 0.287, 0.000)
S (0.787, 0.787, 0.500)
S (0.813, 0.813, 0.152)
S (0.813, 0.813, 0.848)